KSmV4O12: calculated X-ray powder pattern (copper Kα), based on a structure optimized by DFT (GGA+U).
Neutral-atom scattering factors, no anomalous dispersion.

Largest 6 diffraction maxima, in order of rising 2θ, 5° ≤ 2θ ≤ 70°:
d = 7.230 Å, I = 26
d = 5.807 Å, I = 26
d = 4.527 Å, I = 87
d = 2.906 Å, I = 100
d = 2.752 Å, I = 21
d = 2.552 Å, I = 27

Crystal structure
abc: 7.230 6.083 6.083
angles: 72.65 90.00 90.00
Fractional coordinates of all 18 atoms:
K1 0.000 0.000 0.000
Sm1 0.500 0.456 0.456
V1 0.253 0.492 0.979
V2 0.253 0.979 0.492
V3 0.747 0.492 0.979
V4 0.747 0.979 0.492
O1 0.000 0.023 0.488
O2 0.000 0.488 0.023
O3 0.236 0.787 0.787
O4 0.267 0.290 0.290
O5 0.284 0.335 0.797
O6 0.284 0.797 0.335
O7 0.500 0.045 0.563
O8 0.500 0.563 0.045
O9 0.716 0.335 0.797
O10 0.716 0.797 0.335
O11 0.733 0.290 0.290
O12 0.764 0.787 0.787

---

Li9Mn2Co5O16: calculated X-ray powder pattern (copper Kα), based on a structure optimized by DFT (GGA+U).
Neutral-atom scattering factors, no anomalous dispersion.

Largest 6 diffraction maxima, in order of rising 2θ, 5° ≤ 2θ ≤ 70°:
d = 4.829 Å, I = 100
d = 2.513 Å, I = 14
d = 2.488 Å, I = 13
d = 2.103 Å, I = 28
d = 2.069 Å, I = 27
d = 2.042 Å, I = 25

Crystal structure
abc: 5.084 5.791 9.812
angles: 82.00 83.69 89.46
Fractional coordinates of all 32 atoms:
Li1 0.000 0.000 0.000
Li2 0.004 0.495 0.997
Li3 0.250 0.368 0.534
Li4 0.269 0.865 0.529
Li5 0.511 0.749 0.004
Li6 0.538 0.248 0.999
Li7 0.758 0.120 0.534
Li8 0.771 0.611 0.533
Li9 0.890 0.307 0.766
Mn1 0.139 0.186 0.265
Mn2 0.640 0.930 0.266
Co1 0.140 0.684 0.267
Co2 0.379 0.064 0.770
Co3 0.398 0.551 0.763
Co4 0.639 0.431 0.268
Co5 0.889 0.807 0.766
O1 0.071 0.603 0.653
O2 0.073 0.066 0.653
O3 0.186 0.769 0.878
O4 0.224 0.263 0.891
O5 0.334 0.462 0.164
O6 0.334 0.952 0.161
O7 0.445 0.665 0.376
O8 0.476 0.141 0.384
O9 0.553 0.348 0.645
O10 0.591 0.843 0.656
O11 0.703 0.549 0.879
O12 0.708 0.009 0.878
O13 0.802 0.197 0.147
O14 0.834 0.711 0.159
O15 0.947 0.907 0.371
O16 0.948 0.413 0.372

---

Li9Mn2Co5O16: calculated X-ray powder pattern (copper Kα), based on a structure optimized by DFT (GGA+U).
Neutral-atom scattering factors, no anomalous dispersion.

Largest 6 diffraction maxima, in order of rising 2θ, 5° ≤ 2θ ≤ 70°:
d = 4.828 Å, I = 100
d = 2.496 Å, I = 26
d = 2.093 Å, I = 28
d = 2.074 Å, I = 55
d = 1.476 Å, I = 15
d = 1.471 Å, I = 22

Crystal structure
abc: 8.373 2.921 11.780
angles: 90.00 90.29 90.00
Fractional coordinates of all 32 atoms:
Li1 0.000 0.000 0.000
Li2 0.000 0.000 0.500
Li3 0.252 0.500 0.123
Li4 0.267 0.500 0.624
Li5 0.499 0.000 0.256
Li6 0.500 0.000 0.500
Li7 0.501 0.000 0.744
Li8 0.733 0.500 0.376
Li9 0.748 0.500 0.877
Mn1 0.261 0.500 0.378
Mn2 0.739 0.500 0.622
Co1 0.000 0.000 0.251
Co2 0.000 0.000 0.749
Co3 0.250 0.500 0.874
Co4 0.500 0.000 0.000
Co5 0.750 0.500 0.126
O1 0.002 0.500 0.866
O2 0.015 0.500 0.367
O3 0.245 0.000 0.756
O4 0.247 0.000 0.263
O5 0.248 0.000 0.487
O6 0.253 0.000 0.991
O7 0.479 0.500 0.373
O8 0.496 0.500 0.884
O9 0.504 0.500 0.116
O10 0.521 0.500 0.627
O11 0.747 0.000 0.009
O12 0.752 0.000 0.513
O13 0.753 0.000 0.737
O14 0.755 0.000 0.244
O15 0.985 0.500 0.633
O16 0.998 0.500 0.134

---

LiMn3B3O9: calculated X-ray powder pattern (copper Kα), based on a structure optimized by DFT (GGA+U).
Neutral-atom scattering factors, no anomalous dispersion.

Largest 6 diffraction maxima, in order of rising 2θ, 5° ≤ 2θ ≤ 70°:
d = 4.499 Å, I = 100
d = 4.382 Å, I = 31
d = 3.990 Å, I = 78
d = 3.921 Å, I = 89
d = 2.671 Å, I = 49
d = 2.547 Å, I = 78

Crystal structure
abc: 5.346 5.945 12.845
angles: 86.35 89.88 65.28
Fractional coordinates of all 32 atoms:
Li1 0.197 0.432 0.238
Li2 0.803 0.568 0.762
Mn1 0.102 0.718 0.028
Mn2 0.245 0.643 0.624
Mn3 0.416 0.065 0.693
Mn4 0.584 0.935 0.307
Mn5 0.755 0.357 0.376
Mn6 0.898 0.282 0.972
B1 0.043 0.065 0.195
B2 0.281 0.298 0.471
B3 0.368 0.415 0.855
B4 0.632 0.585 0.145
B5 0.719 0.702 0.529
B6 0.957 0.935 0.805
O1 0.056 0.247 0.474
O2 0.063 0.967 0.903
O3 0.117 0.925 0.718
O4 0.221 0.426 0.946
O5 0.235 0.413 0.763
O6 0.274 0.102 0.197
O7 0.375 0.582 0.144
O8 0.406 0.307 0.376
O9 0.406 0.315 0.564
O10 0.594 0.685 0.436
O11 0.594 0.693 0.624
O12 0.625 0.418 0.856
O13 0.726 0.898 0.803
O14 0.765 0.587 0.237
O15 0.779 0.574 0.054
O16 0.883 0.075 0.282
O17 0.937 0.033 0.097
O18 0.944 0.753 0.526

---

TiNiP2O8: calculated X-ray powder pattern (copper Kα), based on a structure optimized by DFT (GGA+U).
Neutral-atom scattering factors, no anomalous dispersion.

Largest 6 diffraction maxima, in order of rising 2θ, 5° ≤ 2θ ≤ 70°:
d = 4.305 Å, I = 83
d = 3.645 Å, I = 100
d = 2.681 Å, I = 69
d = 2.485 Å, I = 37
d = 1.899 Å, I = 32
d = 1.823 Å, I = 26

Crystal structure
abc: 8.465 8.465 8.465
angles: 61.13 61.13 61.13
Fractional coordinates of all 36 atoms:
Ti1 0.000 0.000 0.000
Ti2 0.213 0.213 0.213
Ti3 0.503 0.503 0.503
Ni1 0.356 0.356 0.356
Ni2 0.716 0.716 0.716
Ni3 0.855 0.855 0.855
P1 0.108 0.810 0.404
P2 0.314 0.610 0.905
P3 0.404 0.108 0.810
P4 0.610 0.905 0.314
P5 0.810 0.404 0.108
P6 0.905 0.314 0.610
O1 0.040 0.860 0.240
O2 0.103 0.290 0.447
O3 0.112 0.767 0.916
O4 0.186 0.969 0.347
O5 0.240 0.040 0.860
O6 0.270 0.614 0.411
O7 0.290 0.447 0.103
O8 0.347 0.186 0.969
O9 0.361 0.541 0.740
O10 0.411 0.270 0.614
O11 0.447 0.103 0.290
O12 0.466 0.675 0.871
O13 0.541 0.740 0.361
O14 0.599 0.954 0.803
O15 0.614 0.411 0.270
O16 0.675 0.871 0.466
O17 0.740 0.361 0.541
O18 0.767 0.916 0.112
O19 0.803 0.599 0.954
O20 0.860 0.240 0.040
O21 0.871 0.466 0.675
O22 0.916 0.112 0.767
O23 0.954 0.803 0.599
O24 0.969 0.347 0.186